No. 1
Na5B8C2: theoretical powder diffractogram (a wavelength of 1.5418 Å), based on a PBE-relaxed structure.
Neutral-atom scattering factors, no anomalous dispersion.

Main lines, by angle (15° ≤ 2θ ≤ 90°):
| Position (°2θ) | Rel. int. |
| --- | --- |
| 34.0 | 10 |
| 36.1 | 12 |
| 40.0 | 35 |
| 41.9 | 100 |
| 56.4 | 7 |
| 62.1 | 13 |
| 66.2 | 7 |
| 75.3 | 7 |
| 76.4 | 9 |
| 80.2 | 7 |

Structure:
Cell: 11.797 11.797 10.131 Å, 105.92 105.92 13.75°
Positions (direct):
Na  0.000  0.000  0.000
Na  0.098  0.098  0.700
Na  0.199  0.199  0.398
Na  0.301  0.301  0.100
Na  0.401  0.401  0.800
Na  0.500  0.500  0.500
Na  0.599  0.599  0.200
Na  0.699  0.699  0.900
Na  0.801  0.801  0.602
Na  0.902  0.902  0.300
B  0.019  0.019  0.289
B  0.085  0.085  0.421
B  0.111  0.111  0.974
B  0.177  0.177  0.106
B  0.217  0.217  0.686
B  0.280  0.280  0.811
B  0.326  0.326  0.400
B  0.479  0.479  0.208
B  0.521  0.521  0.792
B  0.674  0.674  0.600
B  0.720  0.720  0.189
B  0.783  0.783  0.314
B  0.823  0.823  0.894
B  0.889  0.889  0.026
B  0.915  0.915  0.579
B  0.981  0.981  0.711
C  0.384  0.384  0.516
C  0.419  0.419  0.088
C  0.581  0.581  0.912
C  0.616  0.616  0.484


No. 2
Na10B13C7: theoretical powder diffractogram (a wavelength of 1.5418 Å), based on a PBE-relaxed structure.
Neutral-atom scattering factors, no anomalous dispersion.

Main lines, by angle (15° ≤ 2θ ≤ 90°):
| Position (°2θ) | Rel. int. |
| --- | --- |
| 35.9 | 20 |
| 41.8 | 100 |
| 42.2 | 53 |
| 42.4 | 39 |
| 56.7 | 11 |
| 64.2 | 9 |
| 65.0 | 17 |
| 77.1 | 12 |
| 79.8 | 12 |
| 80.7 | 22 |

Structure:
Cell: 8.532 7.666 7.666 Å, 142.28 90.00 90.00°
Positions (direct):
Na  0.246  0.000  0.000
Na  0.247  0.401  0.602
Na  0.247  0.602  0.401
Na  0.249  0.202  0.803
Na  0.249  0.803  0.202
Na  0.751  0.202  0.803
Na  0.751  0.803  0.202
Na  0.753  0.401  0.602
Na  0.753  0.602  0.401
Na  0.754  0.000  0.000
B  0.000  0.059  0.270
B  0.000  0.270  0.059
B  0.000  0.333  0.333
B  0.000  0.466  0.866
B  0.000  0.684  0.684
B  0.000  0.866  0.466
B  0.500  0.116  0.501
B  0.500  0.339  0.339
B  0.500  0.481  0.883
B  0.500  0.501  0.116
B  0.500  0.743  0.932
B  0.500  0.883  0.481
B  0.500  0.932  0.743
C  0.000  0.126  0.532
C  0.000  0.532  0.126
C  0.000  0.732  0.935
C  0.000  0.935  0.732
C  0.500  0.079  0.269
C  0.500  0.269  0.079
C  0.500  0.674  0.674